Starting from a DFT-relaxed cell (PBE, Alexandria), the X-ray diffraction stick pattern of Rb3AgF7 was simulated for Cu Ka.

Structure:
```
data_Rb3AgF7
_chemical_formula_sum 'Rb6 Ag2 F14'
_cell_length_a 8.2254
_cell_length_b 8.2254
_cell_length_c 6.2695
_cell_angle_alpha 90.00
_cell_angle_beta 90.00
_cell_angle_gamma 90.00
_symmetry_space_group_name_H-M 'P 4/m b m'
_symmetry_Int_Tables_number 127
_symmetry_space_group_name_Hall '-P 4 2ab'
loop_
_atom_site_label
_atom_site_type_symbol
_atom_site_fract_x
_atom_site_fract_y
_atom_site_fract_z
_atom_site_occupancy
Rb1 Rb 0.0000 0.0000 0.0000 1
Rb2 Rb 0.1824 0.3176 0.5000 1
Ag1 Ag 0.0000 0.5000 0.0000 1
F1 F 0.0000 0.0000 0.5000 1
F2 F 0.1212 0.6212 0.2423 1
F3 F 0.1684 0.3316 0.0000 1
```

Peak list (8 most intense, 2θ from 10° to 90°, low angle first)
2θ 15.23, I 18.6, (1 1 0); 2θ 25.91, I 100.0, (2 0 1); 2θ 28.13, I 18.1, (2 1 1); 2θ 28.47, I 33.1, (0 0 2); 2θ 30.74, I 40.8, (2 2 0); 2θ 37.70, I 40.1, (2 1 2); 2θ 42.40, I 32.5, (2 2 2); 2θ 48.89, I 17.5, (2 0 3)

---

Starting from a DFT-relaxed cell (PBE, Alexandria), the X-ray diffraction stick pattern of Ac2TcC4 was simulated for Cu Ka.

Structure:
```
data_Ac2TcC4
_chemical_formula_sum 'Ac8 Tc4 C16'
_cell_length_a 8.1181
_cell_length_b 10.7039
_cell_length_c 5.5548
_cell_angle_alpha 90.00
_cell_angle_beta 90.00
_cell_angle_gamma 90.00
_symmetry_space_group_name_H-M 'I b a m'
_symmetry_Int_Tables_number 72
_symmetry_space_group_name_Hall '-I 2 2c'
loop_
_atom_site_label
_atom_site_type_symbol
_atom_site_fract_x
_atom_site_fract_y
_atom_site_fract_z
_atom_site_occupancy
Ac1 Ac 0.1575 0.1505 0.0000 1
Tc1 Tc 0.0000 0.5000 0.2500 1
C1 C 0.1702 0.1165 0.5000 1
C2 C 0.1718 0.4269 0.0000 1
```

Peak list (8 most intense, 2θ from 10° to 90°, low angle first)
2θ 25.59, I 100.0, (1 2 1); 2θ 27.30, I 51.4, (1 3 0); 2θ 28.48, I 82.7, (2 1 1); 2θ 34.18, I 30.7, (3 1 0); 2θ 35.16, I 26.7, (1 1 2); 2θ 47.16, I 23.1, (0 4 2); 2θ 50.95, I 24.6, (2 5 1); 2θ 53.83, I 38.6, (3 3 2)